MgTlVO4: theoretical XRD peak list (Cu Kα (weighted mean of Kα1 and Kα2)), based on a DFT-relaxed cell (PBE+U, Alexandria).
Neutral-atom scattering factors, no anomalous dispersion.

Principal peaks in the range 5 to 70 degrees two-theta, sorted by position:
two_theta, Rel. int.
18.2, 46
21.1, 82
29.9, 100
35.3, 50
48.2, 34
53.2, 40

a b c (Å): 8.4395 8.4395 8.4395
angles (deg): 90.00 90.00 90.00
Space group F-43m (No. 216)
Asymmetric unit:
Mg: 0.0000 0.0000 0.0000 [4 per cell]
Tl: 0.2500 0.2500 0.2500 [4 per cell]
V: 0.2500 0.2500 0.7500 [4 per cell]
O: 0.1314 0.1314 0.8686 [16 per cell]